Entry 1:
K2Ag3Cl8: calculated powder XRD pattern (λ = 1.5418 Å (Cu Kα)), based on the PBE geometry in Alexandria.

Principal peaks in the range 10° ≤ 2θ ≤ 80°, in order of rising 2θ:
2theta, I (rel.)
17.60, 100.0
17.96, 71.6
25.25, 80.7
35.63, 77.3
40.18, 34.4
44.17, 35.3

a b c (Å): 5.0396 5.0396 14.8163
angles (deg): 90.00 90.00 90.00
Space group P4/mmm (No. 123)
One atom of each set of equivalent atoms:
K  0.0000  0.0000  0.1965
Ag  0.5000  0.5000  0.0000
Ag  0.5000  0.5000  0.3504
Cl  0.0000  0.5000  0.0000
Cl  0.0000  0.5000  0.3470
Cl  0.5000  0.5000  0.1656

Entry 2:
KAg5Cl8: calculated powder XRD pattern (λ = 1.5418 Å (Cu Kα)), based on the PBE geometry in Alexandria.

Principal peaks in the range 10° ≤ 2θ ≤ 80°, in order of rising 2θ:
2theta, I (rel.)
10.05, 100.0
11.98, 42.2
26.41, 65.9
27.62, 65.7
34.00, 40.1
39.43, 43.4

a b c (Å): 4.2039 9.1239 9.8071
angles (deg): 74.88 79.55 84.64
Space group P1 (No. 1)
One atom of each set of equivalent atoms:
K  0.0000  0.0000  0.0000
Ag  0.0466  0.4424  0.6994
Ag  0.2157  0.8289  0.5836
Ag  0.4984  0.5002  0.0020
Ag  0.7805  0.1714  0.4201
Ag  0.9509  0.5583  0.3041
Cl  0.1325  0.6559  0.8346
Cl  0.2610  0.0041  0.3323
Cl  0.2849  0.3423  0.4814
Cl  0.4615  0.7126  0.1338
Cl  0.5356  0.2882  0.8697
Cl  0.7120  0.6581  0.5223
Cl  0.7350  0.9964  0.6719
Cl  0.8643  0.3446  0.1692

Entry 3:
K2AgCl4: calculated powder XRD pattern (λ = 1.5418 Å (Cu Kα)), based on the PBE geometry in Alexandria.

Principal peaks in the range 10° ≤ 2θ ≤ 80°, in order of rising 2θ:
2theta, I (rel.)
12.15, 100.0
21.42, 29.9
24.69, 39.0
27.61, 75.4
34.84, 58.3
45.01, 35.7

a b c (Å): 7.2845 7.2845 4.1493
angles (deg): 90.00 90.00 90.00
Space group P4/mmm (No. 123)
One atom of each set of equivalent atoms:
K  0.0000  0.5000  0.0000
Ag  0.0000  0.0000  0.5000
Cl  0.2391  0.2391  0.5000